Record 1
Theoretical powder diffractogram of SmYBrNCl2 for Cu Kα (weighted mean of Kα1 and Kα2), from a cell relaxed with PBE.
Peak positions follow from Bragg's law for the DFT cell and can differ from measured ones.

Main lines, in order of falling intensity (2θ from 10° to 90°):
d [Å]	I/Imax
2.729	100
3.319	49
8.296	41
3.137	39
2.433	27
2.050	24

Atomic structure:
a b c (Å): 17.264 3.890 10.988
angles (deg): 90.00 122.99 90.00
Space group C2/m (No. 12)
Symmetry-distinct sites (fractional):
Sm  0.082  0.000  0.456
Y  0.137  0.500  0.794
Br  0.041  0.500  0.227
N  0.076  0.000  0.660
Cl  0.173  0.000  0.013
Cl  0.216  0.500  0.619

Record 2
Theoretical powder diffractogram of TbYBrNCl2 for Cu Kα (weighted mean of Kα1 and Kα2), from a cell relaxed with PBE.
Peak positions follow from Bragg's law for the DFT cell and can differ from measured ones.

Main lines, in order of falling intensity (2θ from 10° to 90°):
d [Å]	I/Imax
8.070	100
3.133	39
3.312	29
2.662	24
2.739	21
2.715	20

Atomic structure:
a b c (Å): 16.760 3.865 10.988
angles (deg): 90.00 121.63 90.00
Space group C2/m (No. 12)
Symmetry-distinct sites (fractional):
Tb  0.135  0.000  0.286
Y  0.082  0.500  0.956
Br  0.161  0.500  0.517
N  0.075  0.500  0.154
Cl  0.045  0.000  0.755
Cl  0.215  0.000  0.109

Record 3
Theoretical powder diffractogram of TbYBr2NCl for Cu Kα (weighted mean of Kα1 and Kα2), from a cell relaxed with PBE.
Peak positions follow from Bragg's law for the DFT cell and can differ from measured ones.

Main lines, in order of falling intensity (2θ from 10° to 90°):
d [Å]	I/Imax
3.303	100
2.725	77
3.154	68
2.849	58
2.167	50
2.065	47

Atomic structure:
a b c (Å): 18.445 3.860 11.572
angles (deg): 90.00 126.30 90.00
Space group C2/m (No. 12)
Symmetry-distinct sites (fractional):
Tb  0.139  0.000  0.292
Y  0.074  0.500  0.960
Br  0.034  0.000  0.743
Br  0.217  0.000  0.124
N  0.076  0.500  0.157
Cl  0.175  0.500  0.506

Record 4
Theoretical powder diffractogram of TbYBr2NCl for Cu Kα (weighted mean of Kα1 and Kα2), from a cell relaxed with PBE.
Peak positions follow from Bragg's law for the DFT cell and can differ from measured ones.

Main lines, in order of falling intensity (2θ from 10° to 90°):
d [Å]	I/Imax
8.644	100
3.324	31
2.753	28
2.867	23
2.781	23
3.172	22

Atomic structure:
a b c (Å): 17.822 3.875 11.521
angles (deg): 90.00 124.55 90.00
Space group C2/m (No. 12)
Symmetry-distinct sites (fractional):
Tb  0.138  0.000  0.284
Y  0.075  0.500  0.957
Br  0.164  0.500  0.508
Br  0.220  0.000  0.117
N  0.077  0.500  0.153
Cl  0.035  0.000  0.761

Record 5
Theoretical powder diffractogram of TbYBrNCl2 for Cu Kα (weighted mean of Kα1 and Kα2), from a cell relaxed with PBE.
Peak positions follow from Bragg's law for the DFT cell and can differ from measured ones.

Main lines, in order of falling intensity (2θ from 10° to 90°):
d [Å]	I/Imax
8.719	100
3.289	79
2.710	62
2.844	33
2.788	33
3.617	33

Atomic structure:
a b c (Å): 17.987 3.851 11.396
angles (deg): 90.00 125.73 90.00
Space group C2/m (No. 12)
Symmetry-distinct sites (fractional):
Tb  0.075  0.000  0.457
Y  0.140  0.500  0.791
Br  0.222  0.500  0.622
N  0.078  0.000  0.656
Cl  0.031  0.500  0.253
Cl  0.172  0.000  0.005

Record 6
Theoretical powder diffractogram of TbYBr2NCl for Cu Kα (weighted mean of Kα1 and Kα2), from a cell relaxed with PBE.
Peak positions follow from Bragg's law for the DFT cell and can differ from measured ones.

Main lines, in order of falling intensity (2θ from 10° to 90°):
d [Å]	I/Imax
2.721	100
3.302	89
8.809	85
2.822	52
2.515	48
3.148	44

Atomic structure:
a b c (Å): 18.200 3.862 11.451
angles (deg): 90.00 125.77 90.00
Space group C2/m (No. 12)
Symmetry-distinct sites (fractional):
Tb  0.076  0.000  0.459
Y  0.138  0.500  0.791
Br  0.035  0.500  0.240
Br  0.220  0.500  0.624
N  0.076  0.000  0.656
Cl  0.175  0.000  0.007

Record 7
Theoretical powder diffractogram of TbYBrNCl2 for Cu Kα (weighted mean of Kα1 and Kα2), from a cell relaxed with PBE.
Peak positions follow from Bragg's law for the DFT cell and can differ from measured ones.

Main lines, in order of falling intensity (2θ from 10° to 90°):
d [Å]	I/Imax
7.860	100
3.318	80
2.742	71
3.131	66
2.610	62
2.667	50

Atomic structure:
a b c (Å): 16.346 3.878 10.837
angles (deg): 90.00 120.61 90.00
Space group C2/m (No. 12)
Symmetry-distinct sites (fractional):
Tb  0.085  0.000  0.454
Y  0.135  0.500  0.786
Br  0.159  0.000  0.018
N  0.075  0.000  0.655
Cl  0.048  0.500  0.253
Cl  0.219  0.500  0.609

Record 8
Theoretical powder diffractogram of NbBr2ClO for Cu Kα (weighted mean of Kα1 and Kα2), from a cell relaxed with PBE.
Peak positions follow from Bragg's law for the DFT cell and can differ from measured ones.

Main lines, in order of falling intensity (2θ from 10° to 90°):
d [Å]	I/Imax
3.724	100
2.911	52
2.985	46
6.923	35
3.759	34
1.981	31

Atomic structure:
a b c (Å): 13.907 3.960 11.712
angles (deg): 90.00 120.85 90.00
Space group C2 (No. 5)
Symmetry-distinct sites (fractional):
Nb  0.125  0.000  0.200
Br  0.100  0.063  0.955
Br  0.172  0.556  0.710
Cl  0.107  0.055  0.385
O  0.117  0.545  0.187

Record 9
Theoretical powder diffractogram of RbNbBr2Cl2O for Cu Kα (weighted mean of Kα1 and Kα2), from a cell relaxed with PBE.
Peak positions follow from Bragg's law for the DFT cell and can differ from measured ones.

Main lines, in order of falling intensity (2θ from 10° to 90°):
d [Å]	I/Imax
3.339	100
6.446	95
2.830	80
2.894	75
2.981	66
2.812	59

Atomic structure:
a b c (Å): 13.538 4.134 7.674
angles (deg): 90.00 107.75 90.00
Space group C2 (No. 5)
Symmetry-distinct sites (fractional):
Rb  0.000  0.000  0.000
Nb  0.000  0.430  0.500
Br  0.143  0.507  0.348
Cl  0.129  0.503  0.795
O  0.000  0.999  0.500

Record 10
Theoretical powder diffractogram of Nb3SBrCl6 for Cu Kα (weighted mean of Kα1 and Kα2), from a cell relaxed with PBE.
Peak positions follow from Bragg's law for the DFT cell and can differ from measured ones.

Main lines, in order of falling intensity (2θ from 10° to 90°):
d [Å]	I/Imax
6.390	100
2.714	91
2.186	60
5.996	37
4.373	31
1.736	25

Atomic structure:
a b c (Å): 6.9236 6.9236 6.3901
angles (deg): 90.00 90.00 120.00
Space group P3m1 (No. 156)
Symmetry-distinct sites (fractional):
Nb  0.1956  0.3912  0.0000
S  0.3333  0.6667  0.7254
Br  0.0000  0.0000  0.2384
Cl  0.0008  0.5004  0.2459
Cl  0.3334  0.1667  0.7932

Record 11
Theoretical powder diffractogram of Nb3SBr6Cl for Cu Kα (weighted mean of Kα1 and Kα2), from a cell relaxed with PBE.
Peak positions follow from Bragg's law for the DFT cell and can differ from measured ones.

Main lines, in order of falling intensity (2θ from 10° to 90°):
d [Å]	I/Imax
2.803	100
6.715	59
2.271	53
1.812	28
1.781	24
4.543	21

Atomic structure:
a b c (Å): 7.1232 7.1232 6.7146
angles (deg): 90.00 90.00 120.00
Space group P3m1 (No. 156)
Symmetry-distinct sites (fractional):
Nb  0.1970  0.3941  0.0000
S  0.3333  0.6667  0.7433
Br  0.3371  0.1686  0.7811
Br  0.5025  0.0050  0.2556
Cl  0.0000  0.0000  0.1846

Record 12
Theoretical powder diffractogram of NbSe2BrCl for Cu Kα (weighted mean of Kα1 and Kα2), from a cell relaxed with PBE.
Peak positions follow from Bragg's law for the DFT cell and can differ from measured ones.

Main lines, in order of falling intensity (2θ from 10° to 90°):
d [Å]	I/Imax
6.916	100
5.527	55
2.998	46
2.959	46
2.151	30
2.436	26

Atomic structure:
a b c (Å): 6.602 6.639 7.686
angles (deg): 90.48 112.32 118.42
Space group P-1 (No. 2)
Symmetry-distinct sites (fractional):
Nb  0.122  0.256  0.000
Se  0.175  0.091  0.317
Se  0.224  0.964  0.869
Br  0.354  0.520  0.776
Cl  0.213  0.636  0.208

Record 13
Theoretical powder diffractogram of Nb3SeBr4Cl3 for Cu Kα (weighted mean of Kα1 and Kα2), from a cell relaxed with PBE.
Peak positions follow from Bragg's law for the DFT cell and can differ from measured ones.

Main lines, in order of falling intensity (2θ from 10° to 90°):
d [Å]	I/Imax
2.797	100
6.632	76
2.259	55
1.797	26
1.781	24
6.171	23

Atomic structure:
a b c (Å): 7.1253 7.1253 6.6323
angles (deg): 90.00 90.00 120.00
Space group P3m1 (No. 156)
Symmetry-distinct sites (fractional):
Nb  0.1980  0.3961  0.0000
Se  0.3333  0.6667  0.2882
Br  0.0000  0.0000  0.7790
Br  0.3365  0.1683  0.2167
Cl  0.0078  0.5039  0.7621